# Li2Cr2O7
Simulated powder X-ray diffraction pattern, Cu Kα, 1.54184 Å. Input: a crystal structure in the Materials Project, relaxed with PBE+U.
Lines closer than 0.1° are merged.

abc: 6.743 8.371 9.629
angles: 90.00 101.30 90.00
Space group P2_1/c (No. 14)
One atom of each set of equivalent atoms:
Li  0.145  0.120  0.465
Li  0.305  0.117  0.186
Cr  0.189  0.015  0.816
Cr  0.354  0.745  0.030
O  0.023  0.078  0.245
O  0.156  0.628  0.990
O  0.166  0.126  0.952
O  0.254  0.127  0.693
O  0.318  0.629  0.650
O  0.383  0.632  0.380
O  0.443  0.140  0.409

Principal peaks in the range 10° ≤ 2θ ≤ 90°, in order of rising 2θ:
18.2°, 4.875 Å, rel. 60, (1 1 -1); 20.8°, 4.278 Å, rel. 68, (1 1 1); 20.9°, 4.257 Å, rel. 51, (1 0 -2); 23.4°, 3.795 Å, rel. 71, (1 1 -2); 25.2°, 3.536 Å, rel. 69, (1 2 0); 28.5°, 3.132 Å, rel. 100, (0 2 2); 29.0°, 3.075 Å, rel. 51, (2 1 0); 30.3°, 2.946 Å, rel. 45, (0 1 3); 36.1°, 2.485 Å, rel. 48, (1 2 -3); 37.3°, 2.409 Å, rel. 51, (2 2 1)